1.
Theoretical powder diffraction line list
Compound: Dy3NbO7
Radiation: λ = 1.5418 Å (Cu Kα)
Structure: DFT lattice parameters and positions (GGA-PBE)
Peak positions follow from Bragg's law for the DFT cell and can differ from measured ones.

Structural model:
```
data_Dy3NbO7
_chemical_formula_sum 'Dy6 Nb2 O14'
_space_group_name_H-M_alt 'P 1'
_space_group_IT_number 1
_cell_length_a 8.170
_cell_length_b 8.170
_cell_length_c 5.371
_cell_angle_alpha 90.00
_cell_angle_beta 90.00
_cell_angle_gamma 125.36
loop_
_space_group_symop_operation_xyz
'x,y,z'
loop_
_atom_site_label
_atom_site_fract_x
_atom_site_fract_y
_atom_site_fract_z
Dy1 0.000 0.500 0.500
Dy2 0.120 0.880 0.970
Dy3 0.380 0.620 0.970
Dy4 0.500 0.000 0.500
Dy5 0.620 0.380 0.030
Dy6 0.880 0.120 0.030
Nb1 0.250 0.250 0.500
Nb2 0.750 0.750 0.500
O1 0.012 0.988 0.713
O2 0.097 0.338 0.738
O3 0.162 0.403 0.262
O4 0.250 0.750 0.739
O5 0.338 0.097 0.262
O6 0.403 0.162 0.738
O7 0.488 0.512 0.713
O8 0.512 0.488 0.287
O9 0.597 0.838 0.262
O10 0.662 0.903 0.738
O11 0.750 0.250 0.261
O12 0.838 0.597 0.738
O13 0.903 0.662 0.262
O14 0.988 0.012 0.287
```

Principal peaks in the range 2θ = 10–90°, by angle:
- 29.04 deg, 3.075 Å, rel. 100
- 29.71 deg, 3.007 Å, rel. 96
- 33.37 deg, 2.685 Å, rel. 21
- 34.39 deg, 2.608 Å, rel. 43
- 48.55 deg, 1.875 Å, rel. 17
- 48.67 deg, 1.871 Å, rel. 62
- 50.28 deg, 1.815 Å, rel. 16
- 57.00 deg, 1.616 Å, rel. 13
- 57.96 deg, 1.591 Å, rel. 29
- 59.11 deg, 1.563 Å, rel. 26

***

2.
Theoretical powder diffraction line list
Compound: Sc3Ga6Fe2
Radiation: λ = 1.5418 Å (Cu Kα)
Structure: DFT lattice parameters and positions (GGA-PBE)
Peak positions follow from Bragg's law for the DFT cell and can differ from measured ones.

Structural model:
```
data_Sc3Ga6Fe2
_chemical_formula_sum 'Sc12 Ga24 Fe8'
_space_group_name_H-M_alt 'P 1'
_space_group_IT_number 1
_cell_length_a 8.154
_cell_length_b 8.422
_cell_length_c 10.428
_cell_angle_alpha 90.00
_cell_angle_beta 90.00
_cell_angle_gamma 90.00
loop_
_space_group_symop_operation_xyz
'x,y,z'
loop_
_atom_site_label
_atom_site_fract_x
_atom_site_fract_y
_atom_site_fract_z
Sc1 0.040 0.250 0.064
Sc2 0.067 0.552 0.640
Sc3 0.067 0.948 0.640
Sc4 0.433 0.052 0.140
Sc5 0.433 0.448 0.140
Sc6 0.460 0.750 0.564
Sc7 0.540 0.250 0.436
Sc8 0.567 0.552 0.860
Sc9 0.567 0.948 0.860
Sc10 0.933 0.052 0.360
Sc11 0.933 0.448 0.360
Sc12 0.960 0.750 0.936
Ga1 0.098 0.750 0.409
Ga2 0.116 0.589 0.156
Ga3 0.116 0.911 0.156
Ga4 0.205 0.006 0.913
Ga5 0.205 0.494 0.913
Ga6 0.220 0.250 0.284
Ga7 0.280 0.750 0.784
Ga8 0.295 0.506 0.413
Ga9 0.295 0.994 0.413
Ga10 0.384 0.089 0.656
Ga11 0.384 0.411 0.656
Ga12 0.402 0.250 0.909
Ga13 0.598 0.750 0.091
Ga14 0.616 0.589 0.344
Ga15 0.616 0.911 0.344
Ga16 0.705 0.006 0.587
Ga17 0.705 0.494 0.587
Ga18 0.720 0.250 0.216
Ga19 0.780 0.750 0.716
Ga20 0.795 0.506 0.087
Ga21 0.795 0.994 0.087
Ga22 0.884 0.089 0.844
Ga23 0.884 0.411 0.844
Ga24 0.902 0.250 0.591
Fe1 0.137 0.250 0.764
Fe2 0.182 0.250 0.522
Fe3 0.318 0.750 0.022
Fe4 0.363 0.750 0.264
Fe5 0.637 0.250 0.736
Fe6 0.682 0.250 0.978
Fe7 0.818 0.750 0.478
Fe8 0.863 0.750 0.236
```

Principal peaks in the range 2θ = 10–90°, by angle:
- 37.31 deg, 2.410 Å, rel. 54
- 38.04 deg, 2.366 Å, rel. 100
- 38.94 deg, 2.313 Å, rel. 59
- 40.26 deg, 2.240 Å, rel. 53
- 40.43 deg, 2.231 Å, rel. 74
- 40.70 deg, 2.217 Å, rel. 58
- 42.24 deg, 2.139 Å, rel. 80
- 42.54 deg, 2.125 Å, rel. 59
- 43.25 deg, 2.092 Å, rel. 56
- 46.66 deg, 1.947 Å, rel. 52

***

3.
Theoretical powder diffraction line list
Compound: KBiO3
Radiation: λ = 1.5418 Å (Cu Kα)
Structure: DFT lattice parameters and positions (GGA-PBE)
Peak positions follow from Bragg's law for the DFT cell and can differ from measured ones.

Structural model:
```
data_KBiO3
_chemical_formula_sum 'K1 Bi1 O3'
_space_group_name_H-M_alt 'P 1'
_space_group_IT_number 1
_cell_length_a 4.284
_cell_length_b 4.284
_cell_length_c 4.284
_cell_angle_alpha 90.00
_cell_angle_beta 90.00
_cell_angle_gamma 90.00
loop_
_space_group_symop_operation_xyz
'x,y,z'
loop_
_atom_site_label
_atom_site_fract_x
_atom_site_fract_y
_atom_site_fract_z
K1 0.000 0.000 0.000
Bi1 0.500 0.500 0.500
O1 0.000 0.500 0.500
O2 0.500 0.000 0.500
O3 0.500 0.500 0.000
```

Principal peaks in the range 2θ = 10–90°, by angle:
- 20.73 deg, 4.284 Å, rel. 72
- 29.49 deg, 3.029 Å, rel. 100
- 36.32 deg, 2.473 Å, rel. 10
- 42.19 deg, 2.142 Å, rel. 31
- 47.45 deg, 1.916 Å, rel. 35
- 52.31 deg, 1.749 Å, rel. 42
- 61.19 deg, 1.515 Å, rel. 20
- 65.34 deg, 1.428 Å, rel. 17
- 69.37 deg, 1.355 Å, rel. 18
- 84.64 deg, 1.145 Å, rel. 23

***

Repeat the second record exactly.
Theoretical powder diffraction line list
Compound: Sc3Ga6Fe2
Radiation: λ = 1.5418 Å (Cu Kα)
Structure: DFT lattice parameters and positions (GGA-PBE)
Peak positions follow from Bragg's law for the DFT cell and can differ from measured ones.

Structural model:
```
data_Sc3Ga6Fe2
_chemical_formula_sum 'Sc12 Ga24 Fe8'
_space_group_name_H-M_alt 'P 1'
_space_group_IT_number 1
_cell_length_a 8.154
_cell_length_b 8.422
_cell_length_c 10.428
_cell_angle_alpha 90.00
_cell_angle_beta 90.00
_cell_angle_gamma 90.00
loop_
_space_group_symop_operation_xyz
'x,y,z'
loop_
_atom_site_label
_atom_site_fract_x
_atom_site_fract_y
_atom_site_fract_z
Sc1 0.040 0.250 0.064
Sc2 0.067 0.552 0.640
Sc3 0.067 0.948 0.640
Sc4 0.433 0.052 0.140
Sc5 0.433 0.448 0.140
Sc6 0.460 0.750 0.564
Sc7 0.540 0.250 0.436
Sc8 0.567 0.552 0.860
Sc9 0.567 0.948 0.860
Sc10 0.933 0.052 0.360
Sc11 0.933 0.448 0.360
Sc12 0.960 0.750 0.936
Ga1 0.098 0.750 0.409
Ga2 0.116 0.589 0.156
Ga3 0.116 0.911 0.156
Ga4 0.205 0.006 0.913
Ga5 0.205 0.494 0.913
Ga6 0.220 0.250 0.284
Ga7 0.280 0.750 0.784
Ga8 0.295 0.506 0.413
Ga9 0.295 0.994 0.413
Ga10 0.384 0.089 0.656
Ga11 0.384 0.411 0.656
Ga12 0.402 0.250 0.909
Ga13 0.598 0.750 0.091
Ga14 0.616 0.589 0.344
Ga15 0.616 0.911 0.344
Ga16 0.705 0.006 0.587
Ga17 0.705 0.494 0.587
Ga18 0.720 0.250 0.216
Ga19 0.780 0.750 0.716
Ga20 0.795 0.506 0.087
Ga21 0.795 0.994 0.087
Ga22 0.884 0.089 0.844
Ga23 0.884 0.411 0.844
Ga24 0.902 0.250 0.591
Fe1 0.137 0.250 0.764
Fe2 0.182 0.250 0.522
Fe3 0.318 0.750 0.022
Fe4 0.363 0.750 0.264
Fe5 0.637 0.250 0.736
Fe6 0.682 0.250 0.978
Fe7 0.818 0.750 0.478
Fe8 0.863 0.750 0.236
```

Principal peaks in the range 2θ = 10–90°, by angle:
- 37.31 deg, 2.410 Å, rel. 54
- 38.04 deg, 2.366 Å, rel. 100
- 38.94 deg, 2.313 Å, rel. 59
- 40.26 deg, 2.240 Å, rel. 53
- 40.43 deg, 2.231 Å, rel. 74
- 40.70 deg, 2.217 Å, rel. 58
- 42.24 deg, 2.139 Å, rel. 80
- 42.54 deg, 2.125 Å, rel. 59
- 43.25 deg, 2.092 Å, rel. 56
- 46.66 deg, 1.947 Å, rel. 52

***

What did the first record say?
Theoretical powder diffraction line list
Compound: Dy3NbO7
Radiation: λ = 1.5418 Å (Cu Kα)
Structure: DFT lattice parameters and positions (GGA-PBE)
Peak positions follow from Bragg's law for the DFT cell and can differ from measured ones.

Structural model:
```
data_Dy3NbO7
_chemical_formula_sum 'Dy6 Nb2 O14'
_space_group_name_H-M_alt 'P 1'
_space_group_IT_number 1
_cell_length_a 8.170
_cell_length_b 8.170
_cell_length_c 5.371
_cell_angle_alpha 90.00
_cell_angle_beta 90.00
_cell_angle_gamma 125.36
loop_
_space_group_symop_operation_xyz
'x,y,z'
loop_
_atom_site_label
_atom_site_fract_x
_atom_site_fract_y
_atom_site_fract_z
Dy1 0.000 0.500 0.500
Dy2 0.120 0.880 0.970
Dy3 0.380 0.620 0.970
Dy4 0.500 0.000 0.500
Dy5 0.620 0.380 0.030
Dy6 0.880 0.120 0.030
Nb1 0.250 0.250 0.500
Nb2 0.750 0.750 0.500
O1 0.012 0.988 0.713
O2 0.097 0.338 0.738
O3 0.162 0.403 0.262
O4 0.250 0.750 0.739
O5 0.338 0.097 0.262
O6 0.403 0.162 0.738
O7 0.488 0.512 0.713
O8 0.512 0.488 0.287
O9 0.597 0.838 0.262
O10 0.662 0.903 0.738
O11 0.750 0.250 0.261
O12 0.838 0.597 0.738
O13 0.903 0.662 0.262
O14 0.988 0.012 0.287
```

Principal peaks in the range 2θ = 10–90°, by angle:
- 29.04 deg, 3.075 Å, rel. 100
- 29.71 deg, 3.007 Å, rel. 96
- 33.37 deg, 2.685 Å, rel. 21
- 34.39 deg, 2.608 Å, rel. 43
- 48.55 deg, 1.875 Å, rel. 17
- 48.67 deg, 1.871 Å, rel. 62
- 50.28 deg, 1.815 Å, rel. 16
- 57.00 deg, 1.616 Å, rel. 13
- 57.96 deg, 1.591 Å, rel. 29
- 59.11 deg, 1.563 Å, rel. 26